# 1
The following is a simulated powder XRD pattern of LiGaHRu2. It was derived from DFT lattice parameters and positions (GGA-PBE), using Cu Kα (λ = 1.5418 Å).
Peak positions follow from Bragg's law for the DFT cell and can differ from measured ones.

Crystal structure
```
data_LiGaHRu2
_cell_length_a 4.039
_cell_length_b 4.039
_cell_length_c 3.363
_cell_angle_alpha 90.00
_cell_angle_beta 90.00
_cell_angle_gamma 90.00
_symmetry_space_group_name_H-M 'P 4/m m m'
_symmetry_Int_Tables_number 123
_symmetry_space_group_name_Hall '-P 4 2'
loop_
_atom_site_label
_atom_site_fract_x
_atom_site_fract_y
_atom_site_fract_z
Li1 0.000 0.000 0.000
Ga1 0.500 0.500 0.000
H1 0.000 0.000 0.500
Ru1 0.000 0.500 0.500
```

Main lines, low angle first (5 to 70 degrees two-theta):
d (Å), 2θ/deg, I/Imax
4.039, 22.01, 14
3.363, 26.51, 18
2.856, 31.32, 22
2.177, 41.48, 100
2.020, 44.88, 40
1.428, 65.34, 13

---

# 2
The following is a simulated powder XRD pattern of LiSnH2Pd4. It was derived from DFT lattice parameters and positions (GGA-PBE), using Cu Kα (λ = 1.5418 Å).
Peak positions follow from Bragg's law for the DFT cell and can differ from measured ones.

Crystal structure
```
data_LiSnH2Pd4
_cell_length_a 3.906
_cell_length_b 3.906
_cell_length_c 7.431
_cell_angle_alpha 90.00
_cell_angle_beta 90.00
_cell_angle_gamma 90.00
_symmetry_space_group_name_H-M 'P 4/m m m'
_symmetry_Int_Tables_number 123
_symmetry_space_group_name_Hall '-P 4 2'
loop_
_atom_site_label
_atom_site_fract_x
_atom_site_fract_y
_atom_site_fract_z
Li1 0.000 0.000 0.000
Sn1 0.000 0.000 0.500
H1 0.500 0.500 0.221
Pd1 0.000 0.500 0.242
```

Main lines, low angle first (5 to 70 degrees two-theta):
d (Å), 2θ/deg, I/Imax
3.716, 23.95, 32
3.458, 25.77, 15
2.762, 32.42, 28
2.217, 40.70, 100
1.953, 46.50, 35
1.346, 69.88, 20

---

# 3
The following is a simulated powder XRD pattern of Bi2PtO5. It was derived from DFT lattice parameters and positions (GGA-PBE), using Cu Kα (λ = 1.5418 Å).
Peak positions follow from Bragg's law for the DFT cell and can differ from measured ones.

Crystal structure
```
data_Bi2PtO5
_cell_length_a 9.988
_cell_length_b 6.655
_cell_length_c 5.299
_cell_angle_alpha 90.00
_cell_angle_beta 120.96
_cell_angle_gamma 90.00
_symmetry_space_group_name_H-M 'C 1 2 1'
_symmetry_Int_Tables_number 5
_symmetry_space_group_name_Hall 'C 2y'
loop_
_atom_site_label
_atom_site_fract_x
_atom_site_fract_y
_atom_site_fract_z
Bi1 0.211 0.000 0.186
Pt1 0.000 0.833 0.500
O1 0.000 0.551 0.500
O2 0.002 0.072 0.743
O3 0.230 0.819 0.822
```

Main lines, low angle first (5 to 70 degrees two-theta):
d (Å), 2θ/deg, I/Imax
5.255, 16.87, 89
4.145, 21.44, 100
3.000, 29.78, 58
2.957, 30.23, 74
2.627, 34.13, 52
2.046, 44.26, 45

---

# 4
The following is a simulated powder XRD pattern of SmPa2PN6. It was derived from DFT lattice parameters and positions (GGA-PBE), using Cu Kα (λ = 1.5418 Å).
Peak positions follow from Bragg's law for the DFT cell and can differ from measured ones.

Crystal structure
```
data_SmPa2PN6
_cell_length_a 5.256
_cell_length_b 5.256
_cell_length_c 5.145
_cell_angle_alpha 90.00
_cell_angle_beta 90.00
_cell_angle_gamma 90.00
_symmetry_space_group_name_H-M 'P 4 m m'
_symmetry_Int_Tables_number 99
_symmetry_space_group_name_Hall 'P 4 -2'
loop_
_atom_site_label
_atom_site_fract_x
_atom_site_fract_y
_atom_site_fract_z
Sm1 0.000 0.000 0.000
Pa1 0.000 0.500 0.449
P1 0.500 0.500 0.069
N1 0.000 0.000 0.554
N2 0.279 0.279 0.197
N3 0.500 0.500 0.740
```

Main lines, low angle first (5 to 70 degrees two-theta):
d (Å), 2θ/deg, I/Imax
5.145, 17.23, 23
3.013, 29.65, 100
2.628, 34.12, 34
1.858, 49.02, 16
1.838, 49.58, 26
1.582, 58.34, 31

---

# 5
The following is a simulated powder XRD pattern of TlSb2H. It was derived from DFT lattice parameters and positions (GGA-PBE), using Cu Kα (λ = 1.5418 Å).
Peak positions follow from Bragg's law for the DFT cell and can differ from measured ones.

Crystal structure
```
data_TlSb2H
_cell_length_a 4.112
_cell_length_b 6.494
_cell_length_c 7.708
_cell_angle_alpha 90.00
_cell_angle_beta 90.04
_cell_angle_gamma 90.00
_symmetry_space_group_name_H-M 'P 1 21/m 1'
_symmetry_Int_Tables_number 11
_symmetry_space_group_name_Hall '-P 2yb'
loop_
_atom_site_label
_atom_site_fract_x
_atom_site_fract_y
_atom_site_fract_z
Tl1 0.249 0.250 0.072
Sb1 0.250 0.019 0.630
H1 0.251 0.750 0.043
```

Main lines, low angle first (5 to 70 degrees two-theta):
d (Å), 2θ/deg, I/Imax
3.474, 25.64, 55
3.167, 28.18, 43
2.992, 29.86, 87
2.812, 31.82, 100
2.419, 37.16, 56
1.809, 50.44, 41

---

# 6
The following is a simulated powder XRD pattern of Li3B4C4. It was derived from DFT lattice parameters and positions (GGA-PBE), using Cu Kα (λ = 1.5418 Å).
Peak positions follow from Bragg's law for the DFT cell and can differ from measured ones.

Crystal structure
```
data_Li3B4C4
_cell_length_a 4.709
_cell_length_b 7.181
_cell_length_c 5.457
_cell_angle_alpha 90.00
_cell_angle_beta 90.00
_cell_angle_gamma 90.00
_symmetry_space_group_name_H-M 'P 21 21 2'
_symmetry_Int_Tables_number 18
_symmetry_space_group_name_Hall 'P 2 2ab'
loop_
_atom_site_label
_atom_site_fract_x
_atom_site_fract_y
_atom_site_fract_z
Li1 0.000 0.000 0.117
Li2 0.000 0.000 0.633
Li3 0.000 0.500 0.625
B1 0.165 0.253 0.373
B2 0.167 0.254 0.877
C1 0.168 0.751 0.874
C2 0.171 0.757 0.376
```

Main lines, low angle first (5 to 70 degrees two-theta):
d (Å), 2θ/deg, I/Imax
3.590, 24.80, 100
2.361, 38.12, 5
1.971, 46.04, 53
1.795, 50.86, 17
1.364, 68.82, 6
1.361, 69.02, 12